Entry 1:
The following is a theoretical powder diffractogram of AlSCl7. It was derived from a DFT-relaxed cell (PBE, Alexandria), using Cu Kα.

Top 6 peaks for 10° ≤ 2θ ≤ 90°, low angle first:
(hkl)	2θ/deg	d (Å)	I/Imax
1 0 -2	16.63	5.331	100
1 1 0	18.87	4.704	80
0 1 2	19.53	4.544	70
1 1 2	25.45	3.500	89
0 2 1	28.24	3.161	62
2 1 -1	28.95	3.084	59

a b c (Å): 7.0005 6.5271 13.0659
angles (deg): 90.00 104.29 90.00
Sites, in units of the cell vectors:
Al 0.0000 0.0138 0.0000
Al 0.0000 0.9862 0.5000
S 0.3454 0.4154 0.1652
S 0.3454 0.5846 0.6652
Cl 0.2827 0.1086 0.9749
Cl 0.2827 0.8914 0.4749
Cl 0.2868 0.4000 0.7779
Cl 0.2868 0.6000 0.2779
Cl 0.5175 0.2000 0.2547
Cl 0.5175 0.8000 0.7547
Cl 0.5472 0.4212 0.6123
Cl 0.5472 0.5788 0.1123
Cl 0.7655 0.1327 0.8746
Cl 0.7655 0.8673 0.3746
Cl 0.9791 0.3151 0.5052
Cl 0.9791 0.6849 0.0052
Cl 0.9818 0.1430 0.1503
Cl 0.9818 0.8570 0.6503

---

Entry 2:
The following is a theoretical powder diffractogram of AlS2Cl6. It was derived from a DFT-relaxed cell (PBE, Alexandria), using Cu Kα.

Top 6 peaks for 10° ≤ 2θ ≤ 90°, low angle first:
(hkl)	2θ/deg	d (Å)	I/Imax
0 1 -1	13.22	6.699	100
0 1 1	17.45	5.083	79
1 0 -1	27.31	3.265	60
1 0 -2	33.28	2.692	50
0 3 0	33.49	2.676	72
1 0 2	33.65	2.663	51

a b c (Å): 3.5448 8.3308 8.4909
angles (deg): 105.61 90.41 90.65
Sites, in units of the cell vectors:
Al 0.0000 0.0000 0.0000
S 0.4948 0.4441 0.3749
S 0.5052 0.5559 0.6251
Cl 0.0079 0.2790 0.0597
Cl 0.4972 0.9921 0.8025
Cl 0.4982 0.6547 0.3052
Cl 0.5018 0.3453 0.6948
Cl 0.5028 0.0079 0.1975
Cl 0.9921 0.7210 0.9403

---

Entry 3:
The following is a theoretical powder diffractogram of AlSbCl2. It was derived from a DFT-relaxed cell (PBE, Alexandria), using Cu Kα.

Top 6 peaks for 10° ≤ 2θ ≤ 90°, low angle first:
(hkl)	2θ/deg	d (Å)	I/Imax
0 0 1	13.49	6.563	41
2 0 0	15.70	5.646	100
2 0 -2	23.79	3.740	59
2 0 1	25.34	3.514	43
4 0 -1	27.63	3.228	49
1 1 -1	30.07	2.972	46

a b c (Å): 12.9422 3.2381 7.5225
angles (deg): 90.00 119.26 90.00
Sites, in units of the cell vectors:
Al 0.0000 0.0000 0.0000
Al 0.5000 0.5000 0.0000
Sb 0.0092 0.5000 0.3172
Sb 0.5092 0.0000 0.3172
Cl 0.1632 0.0000 0.9962
Cl 0.3842 0.0000 0.7619
Cl 0.6632 0.5000 0.9962
Cl 0.8842 0.5000 0.7619

---

Entry 4:
The following is a theoretical powder diffractogram of AlSbCl2. It was derived from a DFT-relaxed cell (PBE, Alexandria), using Cu Kα.

Top 6 peaks for 10° ≤ 2θ ≤ 90°, low angle first:
(hkl)	2θ/deg	d (Å)	I/Imax
0 0 1	10.64	8.317	100
1 0 0	22.29	3.988	23
1 0 1	24.76	3.596	75
1 1 0	31.73	2.820	52
1 1 1	33.56	2.671	27
1 1 3	45.90	1.977	26

a b c (Å): 3.9882 3.9882 8.3166
angles (deg): 90.00 90.00 90.00
Sites, in units of the cell vectors:
Al 0.0000 0.0000 0.0000
Sb 0.5000 0.5000 0.9218
Cl 0.0000 0.0000 0.2557
Cl 0.5000 0.5000 0.6378

---

Entry 5:
The following is a theoretical powder diffractogram of ScAl2Cl. It was derived from a DFT-relaxed cell (PBE, Alexandria), using Cu Kα.

Top 6 peaks for 10° ≤ 2θ ≤ 90°, low angle first:
(hkl)	2θ/deg	d (Å)	I/Imax
0 0 2	18.88	4.701	29
1 1 2	34.69	2.586	100
0 2 0	40.74	2.215	28
1 1 3	40.98	2.202	71
2 0 0	41.73	2.165	26
2 2 0	59.73	1.548	16

a b c (Å): 4.3290 4.4300 9.4010
angles (deg): 90.00 90.00 90.00
Sites, in units of the cell vectors:
Sc 0.0000 0.0000 0.0000
Sc 0.5000 0.5000 0.0000
Al 0.0000 0.0000 0.4170
Al 0.0000 0.5000 0.2172
Al 0.5000 0.0000 0.2172
Al 0.5000 0.5000 0.4170
Cl 0.0000 0.5000 0.8355
Cl 0.5000 0.0000 0.8355

---

Entry 6:
The following is a theoretical powder diffractogram of ScAlCl. It was derived from a DFT-relaxed cell (PBE, Alexandria), using Cu Kα.

Top 6 peaks for 10° ≤ 2θ ≤ 90°, low angle first:
(hkl)	2θ/deg	d (Å)	I/Imax
0 0 2	11.73	7.541	100
1 0 3	33.39	2.684	56
1 1 0	40.19	2.244	31
1 0 5	41.29	2.186	50
1 1 2	42.01	2.151	14
2 1 5	73.78	1.284	16

a b c (Å): 3.1736 3.1736 15.0825
angles (deg): 90.00 90.00 90.00
Sites, in units of the cell vectors:
Sc 0.0000 0.0000 0.0000
Sc 0.5000 0.5000 0.5000
Al 0.0000 0.0000 0.3756
Al 0.5000 0.5000 0.8756
Cl 0.0000 0.0000 0.6031
Cl 0.5000 0.5000 0.1031

---

Question: What is the formula in the first record?
Answer: AlSCl7

---

Copy entry 2 word for word.
The following is a theoretical powder diffractogram of AlS2Cl6. It was derived from a DFT-relaxed cell (PBE, Alexandria), using Cu Kα.

Top 6 peaks for 10° ≤ 2θ ≤ 90°, low angle first:
(hkl)	2θ/deg	d (Å)	I/Imax
0 1 -1	13.22	6.699	100
0 1 1	17.45	5.083	79
1 0 -1	27.31	3.265	60
1 0 -2	33.28	2.692	50
0 3 0	33.49	2.676	72
1 0 2	33.65	2.663	51

a b c (Å): 3.5448 8.3308 8.4909
angles (deg): 105.61 90.41 90.65
Sites, in units of the cell vectors:
Al 0.0000 0.0000 0.0000
S 0.4948 0.4441 0.3749
S 0.5052 0.5559 0.6251
Cl 0.0079 0.2790 0.0597
Cl 0.4972 0.9921 0.8025
Cl 0.4982 0.6547 0.3052
Cl 0.5018 0.3453 0.6948
Cl 0.5028 0.0079 0.1975
Cl 0.9921 0.7210 0.9403